Ba4Te5: simulated X-ray diffraction stick pattern (Cu Kα), based on the GGA-PBE geometry in Alexandria.
Lines closer than 0.1° are merged.

Main lines, by angle (10 to 80 degrees two-theta):
d 3.121, 2θ 28.60, intensity 55; d 3.072, 2θ 29.06, intensity 89; d 2.932, 2θ 30.49, intensity 100; d 2.402, 2θ 37.44, intensity 19; d 2.121, 2θ 42.63, intensity 29; d 1.943, 2θ 46.74, intensity 14; d 1.745, 2θ 52.42, intensity 21; d 1.691, 2θ 54.26, intensity 13; d 1.611, 2θ 57.17, intensity 11; d 1.525, 2θ 60.74, intensity 22

a b c (Å): 10.6430 10.6430 7.0253
angles (deg): 90.00 90.00 120.00
Space group P6_3/mcm (No. 193)
Asymmetric unit:
Ba  0.0000  0.0000  0.0000 [2 per cell]
Ba  0.0000  0.3847  0.2500 [6 per cell]
Te  0.0000  0.2751  0.7500 [6 per cell]
Te  0.3333  0.6667  0.0000 [4 per cell]